(1)
# Y6Al2C
Calculated powder diffraction line list, λ = 1.5418 Å (Cu Kα). Input: a DFT-relaxed cell (PBE, Alexandria).

Cell and atoms:
a b c (Å): 6.8684 6.8684 6.8684
angles (deg): 119.96 119.96 90.08
Fractional positions:
Y (0.2463, 0.2463, 0.0000)
Y (0.2460, 0.2460, 0.4920)
Y (0.2460, 0.7540, 0.0000)
Y (0.7540, 0.2460, 0.0000)
Y (0.7537, 0.7537, 0.0000)
Y (0.7540, 0.7540, 0.5080)
Al (0.2500, 0.7500, 0.5000)
Al (0.7500, 0.2500, 0.5000)
C (0.0000, 0.0000, 0.0000)

Principal peaks in the range 2θ = 10–90°, most intense first:
| d_spacing | I/Imax |
| --- | --- |
| 2.805 | 100 |
| 2.429 | 53 |
| 1.465 | 39 |
| 1.717 | 36 |
| 4.858 | 17 |
| 1.114 | 16 |
| 1.402 | 12 |
| 3.435 | 10 |
| 2.172 | 8 |
| 1.983 | 4 |
| 1.619 | 4 |
| 1.215 | 4 |


(2)
# Y2AlC2
Calculated powder diffraction line list, λ = 1.5418 Å (Cu Kα). Input: a DFT-relaxed cell (PBE, Alexandria).

Cell and atoms:
a b c (Å): 6.1771 6.1771 6.8843
angles (deg): 117.15 117.15 48.77
Fractional positions:
Y (0.0346, 0.0346, 0.2678)
Y (0.3279, 0.3279, 0.9107)
Y (0.6721, 0.6721, 0.0893)
Y (0.9654, 0.9654, 0.7322)
Al (0.3666, 0.3666, 0.3712)
Al (0.6334, 0.6334, 0.6288)
C (0.1775, 0.1775, 0.1023)
C (0.4758, 0.4758, 0.7114)
C (0.5242, 0.5242, 0.2886)
C (0.8225, 0.8225, 0.8977)

Principal peaks in the range 2θ = 10–90°, most intense first:
| d_spacing | I/Imax |
| --- | --- |
| 2.805 | 100 |
| 2.738 | 78 |
| 2.550 | 63 |
| 3.019 | 48 |
| 2.642 | 47 |
| 3.087 | 32 |
| 5.958 | 30 |
| 1.835 | 30 |
| 2.113 | 28 |
| 1.627 | 24 |
| 1.679 | 18 |
| 1.966 | 16 |


(3)
# Zr2Al3C5
Calculated powder diffraction line list, λ = 1.5418 Å (Cu Kα). Input: a DFT-relaxed cell (PBE, Alexandria).

Cell and atoms:
a b c (Å): 3.2562 3.2562 24.6232
angles (deg): 90.00 90.00 120.00
Fractional positions:
Zr (0.3333, 0.6667, 0.0562)
Zr (0.3333, 0.6667, 0.4438)
Zr (0.6667, 0.3333, 0.5562)
Zr (0.6667, 0.3333, 0.9438)
Al (0.0000, 0.0000, 0.1527)
Al (0.0000, 0.0000, 0.3473)
Al (0.0000, 0.0000, 0.6527)
Al (0.0000, 0.0000, 0.8473)
Al (0.3333, 0.6667, 0.7500)
Al (0.6667, 0.3333, 0.2500)
C (0.0000, 0.0000, 0.0000)
C (0.0000, 0.0000, 0.5000)
C (0.3333, 0.6667, 0.2175)
C (0.3333, 0.6667, 0.2825)
C (0.3333, 0.6667, 0.6139)
C (0.3333, 0.6667, 0.8861)
C (0.6667, 0.3333, 0.1139)
C (0.6667, 0.3333, 0.3861)
C (0.6667, 0.3333, 0.7175)
C (0.6667, 0.3333, 0.7825)

Principal peaks in the range 2θ = 10–90°, most intense first:
| d_spacing | I/Imax |
| --- | --- |
| 2.447 | 100 |
| 2.667 | 98 |
| 2.200 | 60 |
| 2.324 | 59 |
| 1.628 | 58 |
| 1.572 | 42 |
| 2.462 | 35 |
| 1.358 | 33 |
| 2.079 | 20 |
| 4.104 | 20 |
| 2.749 | 19 |
| 3.078 | 17 |


(4)
# Ca2Al
Calculated powder diffraction line list, λ = 1.5418 Å (Cu Kα). Input: a DFT-relaxed cell (PBE, Alexandria).

Cell and atoms:
a b c (Å): 8.6681 8.6681 5.6263
angles (deg): 90.00 90.00 154.42
Fractional positions:
Ca (0.0685, 0.9315, 0.7500)
Ca (0.2366, 0.7634, 0.2500)
Ca (0.7634, 0.2366, 0.7500)
Ca (0.9315, 0.0685, 0.2500)
Al (0.4068, 0.5932, 0.7500)
Al (0.5932, 0.4068, 0.2500)

Principal peaks in the range 2θ = 10–90°, most intense first:
| d_spacing | I/Imax |
| --- | --- |
| 2.763 | 100 |
| 2.815 | 50 |
| 1.615 | 28 |
| 1.585 | 15 |
| 1.991 | 15 |
| 3.379 | 10 |
| 1.919 | 9 |
| 1.382 | 9 |
| 1.218 | 6 |
| 1.259 | 4 |
| 1.254 | 4 |
| 2.044 | 4 |


(5)
# CaAl
Calculated powder diffraction line list, λ = 1.5418 Å (Cu Kα). Input: a DFT-relaxed cell (PBE, Alexandria).

Cell and atoms:
a b c (Å): 6.0726 6.0726 5.6679
angles (deg): 106.98 106.98 31.06
Fractional positions:
Ca (0.0971, 0.0971, 0.3160)
Ca (0.9029, 0.9029, 0.6840)
Al (0.3396, 0.3396, 0.1509)
Al (0.6604, 0.6604, 0.8491)

Principal peaks in the range 2θ = 10–90°, most intense first:
| d_spacing | I/Imax |
| --- | --- |
| 2.609 | 100 |
| 2.786 | 89 |
| 2.418 | 72 |
| 2.855 | 33 |
| 3.399 | 23 |
| 1.839 | 21 |
| 2.701 | 19 |
| 1.404 | 19 |
| 1.612 | 17 |
| 3.122 | 17 |
| 1.621 | 16 |
| 2.185 | 16 |


(6)
# CaAl
Calculated powder diffraction line list, λ = 1.5418 Å (Cu Kα). Input: a DFT-relaxed cell (PBE, Alexandria).

Cell and atoms:
a b c (Å): 7.5424 7.5424 3.3648
angles (deg): 90.00 90.00 120.00
Fractional positions:
Ca (0.0000, 0.5735, 0.0000)
Ca (0.4265, 0.4265, 0.0000)
Ca (0.5735, 0.0000, 0.0000)
Al (0.0000, 0.2073, 0.5000)
Al (0.2073, 0.0000, 0.5000)
Al (0.7927, 0.7927, 0.5000)

Principal peaks in the range 2θ = 10–90°, most intense first:
| d_spacing | I/Imax |
| --- | --- |
| 2.469 | 100 |
| 2.511 | 88 |
| 2.344 | 66 |
| 2.991 | 60 |
| 1.595 | 59 |
| 3.771 | 46 |
| 3.266 | 37 |
| 1.390 | 30 |
| 1.812 | 17 |
| 1.682 | 13 |
| 1.306 | 12 |
| 1.312 | 11 |


(7)
# Ca3Al2
Calculated powder diffraction line list, λ = 1.5418 Å (Cu Kα). Input: a DFT-relaxed cell (PBE, Alexandria).

Cell and atoms:
a b c (Å): 8.6200 8.6200 7.7558
angles (deg): 90.00 90.00 90.00
Fractional positions:
Ca (0.0000, 0.5000, 0.2500)
Ca (0.0000, 0.5000, 0.7500)
Ca (0.1506, 0.1506, 0.0000)
Ca (0.2083, 0.2083, 0.5000)
Ca (0.2917, 0.7083, 0.0000)
Ca (0.3494, 0.6506, 0.5000)
Ca (0.5000, 0.0000, 0.2500)
Ca (0.5000, 0.0000, 0.7500)
Ca (0.6506, 0.3494, 0.5000)
Ca (0.7083, 0.2917, 0.0000)
Ca (0.7917, 0.7917, 0.5000)
Ca (0.8494, 0.8494, 0.0000)
Al (0.1146, 0.8854, 0.3155)
Al (0.1146, 0.8854, 0.6845)
Al (0.3854, 0.3854, 0.1845)
Al (0.3854, 0.3854, 0.8155)
Al (0.6146, 0.6146, 0.1845)
Al (0.6146, 0.6146, 0.8155)
Al (0.8854, 0.1146, 0.3155)
Al (0.8854, 0.1146, 0.6845)

Principal peaks in the range 2θ = 10–90°, most intense first:
| d_spacing | I/Imax |
| --- | --- |
| 2.730 | 100 |
| 2.883 | 52 |
| 2.572 | 21 |
| 3.048 | 20 |
| 2.837 | 13 |
| 3.272 | 12 |
| 1.434 | 11 |
| 1.800 | 10 |
| 2.476 | 10 |
| 1.550 | 9 |
| 2.091 | 9 |
| 1.580 | 8 |


(8)
# Ca13Al14
Calculated powder diffraction line list, λ = 1.5418 Å (Cu Kα). Input: a DFT-relaxed cell (PBE, Alexandria).

Cell and atoms:
a b c (Å): 9.1573 9.1573 9.6844
angles (deg): 105.20 105.20 64.87
Fractional positions:
Ca (0.0000, 0.0000, 0.0000)
Ca (0.0562, 0.6506, 0.1337)
Ca (0.0808, 0.6433, 0.7272)
Ca (0.1964, 0.1964, 0.5841)
Ca (0.3494, 0.9438, 0.8663)
Ca (0.3567, 0.9192, 0.2728)
Ca (0.4965, 0.4965, 0.2985)
Ca (0.5035, 0.5035, 0.7015)
Ca (0.6433, 0.0808, 0.7272)
Ca (0.6506, 0.0562, 0.1337)
Ca (0.8036, 0.8036, 0.4159)
Ca (0.9192, 0.3567, 0.2728)
Ca (0.9438, 0.3494, 0.8663)
Al (0.0016, 0.0016, 0.6581)
Al (0.2059, 0.4766, 0.4179)
Al (0.2254, 0.7746, 0.5000)
Al (0.2596, 0.2596, 0.1570)
Al (0.3394, 0.3394, 0.9312)
Al (0.3547, 0.6453, 0.0000)
Al (0.4766, 0.2059, 0.4179)
Al (0.5234, 0.7941, 0.5821)
Al (0.6453, 0.3547, 0.0000)
Al (0.6606, 0.6606, 0.0688)
Al (0.7404, 0.7404, 0.8430)
Al (0.7746, 0.2254, 0.5000)
Al (0.7941, 0.5234, 0.5821)
Al (0.9984, 0.9984, 0.3419)

Principal peaks in the range 2θ = 10–90°, most intense first:
| d_spacing | I/Imax |
| --- | --- |
| 2.823 | 100 |
| 2.817 | 86 |
| 2.942 | 85 |
| 2.713 | 83 |
| 2.686 | 72 |
| 2.804 | 61 |
| 2.496 | 54 |
| 2.449 | 54 |
| 2.562 | 52 |
| 2.742 | 43 |
| 2.421 | 42 |
| 2.456 | 28 |